Starting from a structure optimized by DFT (PBE), the powder diffraction line list of CaMnSi was calculated for Cu Kα.

Principal peaks in the range 15 to 90 degrees two-theta, in order of falling intensity:
| 2theta | I_rel |
| --- | --- |
| 39.70 | 100.0 |
| 32.15 | 59.7 |
| 34.27 | 57.4 |
| 46.30 | 50.9 |
| 81.31 | 20.9 |
| 51.80 | 20.3 |
| 57.49 | 20.0 |
| 34.02 | 18.8 |
| 57.24 | 17.8 |
| 47.79 | 15.6 |
| 67.56 | 15.1 |
| 71.98 | 14.4 |

```
data_CaMnSi
_symmetry_space_group_name_H-M 'P 4/n m m'
_symmetry_Int_Tables_number 129
_cell_length_a 3.922
_cell_length_b 3.922
_cell_length_c 7.906
_cell_angle_alpha 90.00
_cell_angle_beta 90.00
_cell_angle_gamma 90.00
loop_
_symmetry_equiv_pos_as_xyz
'x,y,z'
'-x,-y,-z'
'-y+1/2,x,z'
'y+1/2,-x,-z'
'-x+1/2,-y+1/2,z'
'x+1/2,y+1/2,-z'
'y,-x+1/2,z'
'-y,x+1/2,-z'
'x+1/2,-y,-z'
'-x+1/2,y,z'
'-y,-x,-z'
'y,x,z'
'-x,y+1/2,-z'
'x,-y+1/2,z'
'y+1/2,x+1/2,-z'
'-y+1/2,-x+1/2,z'
loop_
_atom_site_label
_atom_site_fract_x
_atom_site_fract_y
_atom_site_fract_z
Ca1 0.250 0.250 0.181
Mn1 0.250 0.750 0.500
Si1 0.250 0.250 0.671
```

***

Starting from a structure optimized by DFT (PBE), the powder diffraction line list of Lu8Te was calculated for Cu Kα.

Principal peaks in the range 15 to 90 degrees two-theta, in order of falling intensity:
| 2theta | I_rel |
| --- | --- |
| 31.29 | 100.0 |
| 34.39 | 77.9 |
| 33.37 | 55.0 |
| 30.22 | 38.5 |
| 57.05 | 36.5 |
| 61.55 | 35.0 |
| 39.02 | 24.8 |
| 49.36 | 15.5 |
| 64.70 | 14.0 |
| 47.17 | 13.9 |
| 58.98 | 13.2 |
| 66.52 | 12.6 |

```
data_Lu8Te
_symmetry_space_group_name_H-M 'P -6 2 m'
_symmetry_Int_Tables_number 189
_symmetry_space_group_name_Hall 'P -6 -2'
_cell_length_a 9.0343
_cell_length_b 9.0343
_cell_length_c 3.6926
_cell_angle_alpha 90.00
_cell_angle_beta 90.00
_cell_angle_gamma 120.00
loop_
_atom_site_label
_atom_site_fract_x
_atom_site_fract_y
_atom_site_fract_z
Lu1 0.0000 0.2778 0.0000
Lu2 0.0000 0.6136 0.5000
Lu3 0.3333 0.6667 0.0000
Te1 0.0000 0.0000 0.5000
```

***

Starting from a structure optimized by DFT (PBE), the powder diffraction line list of Cr2FeSe3S was calculated for Cu Kα.

Principal peaks in the range 15 to 90 degrees two-theta, in order of falling intensity:
| 2theta | I_rel |
| --- | --- |
| 33.10 | 100.0 |
| 33.66 | 88.0 |
| 50.95 | 60.1 |
| 44.76 | 57.7 |
| 43.88 | 34.6 |
| 51.55 | 31.4 |
| 43.20 | 28.0 |
| 26.43 | 21.1 |
| 16.65 | 20.7 |
| 32.53 | 20.3 |
| 62.99 | 19.0 |
| 28.90 | 15.0 |

```
data_Cr2FeSe3S
_symmetry_space_group_name_H-M 'C 1 m 1'
_symmetry_Int_Tables_number 8
_symmetry_space_group_name_Hall 'C -2y'
_cell_length_a 12.373
_cell_length_b 3.545
_cell_length_c 6.237
_cell_angle_alpha 90.00
_cell_angle_beta 118.03
_cell_angle_gamma 90.00
loop_
_atom_site_label
_atom_site_fract_x
_atom_site_fract_y
_atom_site_fract_z
Cr1 0.000 0.000 0.000
Cr2 0.018 0.500 0.542
Fe1 0.238 0.000 0.270
Se1 0.144 0.000 0.827
Se2 0.370 0.000 0.714
Se3 0.379 0.500 0.241
S1 0.129 0.500 0.297
```

***

Starting from a structure optimized by DFT (PBE), the powder diffraction line list of TbI3O9 was calculated for Cu Kα.

Principal peaks in the range 15 to 90 degrees two-theta, in order of falling intensity:
| 2theta | I_rel |
| --- | --- |
| 28.70 | 100.0 |
| 26.49 | 87.5 |
| 26.68 | 65.0 |
| 26.17 | 39.8 |
| 25.01 | 39.6 |
| 43.52 | 30.2 |
| 25.64 | 25.1 |
| 24.13 | 25.1 |
| 49.75 | 23.2 |
| 23.92 | 18.8 |
| 30.49 | 18.6 |
| 47.76 | 16.8 |

```
data_TbI3O9
_symmetry_space_group_name_H-M 'P 1 21/c 1'
_symmetry_Int_Tables_number 14
_symmetry_space_group_name_Hall '-P 2ybc'
_cell_length_a 7.237
_cell_length_b 8.625
_cell_length_c 13.585
_cell_angle_alpha 90.00
_cell_angle_beta 100.32
_cell_angle_gamma 90.00
loop_
_atom_site_label
_atom_site_fract_x
_atom_site_fract_y
_atom_site_fract_z
Tb1 0.172 0.245 0.146
I1 0.166 0.705 0.110
I2 0.265 0.020 0.890
I3 0.333 0.544 0.857
O1 0.018 0.528 0.386
O2 0.034 0.169 0.490
O3 0.149 0.692 0.823
O4 0.158 0.526 0.181
O5 0.227 0.208 0.824
O6 0.320 0.078 0.021
O7 0.339 0.033 0.231
O8 0.362 0.664 0.045
O9 0.469 0.175 0.638
```

***

What is the formula in the first record? CaMnSi

***

What is the formula in the second record? Lu8Te